# 1
Computed powder XRD pattern of PmSm7Y4 for CuKα, from a cell relaxed with PBE.

Largest 10 diffraction maxima, by angle, 10 to 80 degrees two-theta:
| d (Å) | intensity | index |
| --- | --- | --- |
| 3.130 | 43 | 1 -2 0 |
| 2.909 | 49 | 0 0 3 |
| 2.840 | 100 | 2 0 2 |
| 2.701 | 89 | 2 0 -1 |
| 2.270 | 17 | 1 -2 3 |
| 1.820 | 37 | 3 2 1 |
| 1.697 | 21 | 2 0 5 |
| 1.608 | 19 | 2 0 -4 |
| 1.543 | 43 | 3 2 4 |
| 1.532 | 15 | 2 -4 2 |

Cell: 6.306 7.279 8.976 Å, 89.98 76.46 89.95°
Positions (direct):
Pm (0.000, 0.000, 0.000)
Sm (0.000, 0.500, 0.000)
Sm (0.222, 0.000, 0.334)
Sm (0.278, 0.250, 0.665)
Sm (0.499, 0.252, 0.000)
Sm (0.501, 0.748, 0.000)
Sm (0.722, 0.750, 0.335)
Sm (0.778, 0.000, 0.666)
Y (0.221, 0.500, 0.334)
Y (0.279, 0.748, 0.666)
Y (0.721, 0.252, 0.334)
Y (0.779, 0.500, 0.666)

---

# 2
Computed powder XRD pattern of LiYReTc2 for CuKα, from a cell relaxed with PBE.

Largest 10 diffraction maxima, by angle, 10 to 80 degrees two-theta:
| d (Å) | intensity | index |
| --- | --- | --- |
| 5.370 | 77 | 0 0 1 |
| 4.736 | 100 | 1 0 0 |
| 2.685 | 38 | 0 0 2 |
| 2.368 | 53 | 2 0 0 |
| 2.336 | 32 | 1 0 2 |
| 2.167 | 30 | 2 0 1 |
| 2.118 | 24 | 2 1 0 |
| 1.776 | 44 | 2 0 2 |
| 1.663 | 23 | 2 1 2 |
| 1.421 | 21 | 2 2 2 |

Cell: 4.736 4.736 5.370 Å, 90.00 90.00 90.00°
Positions (direct):
Li (0.000, 0.000, 0.000)
Y (0.500, 0.500, 0.000)
Re (0.500, 0.500, 0.500)
Tc (0.000, 0.500, 0.500)
Tc (0.500, 0.000, 0.500)

---

# 3
Computed powder XRD pattern of PmHo7Er3 for CuKα, from a cell relaxed with PBE.

Largest 10 diffraction maxima, by angle, 10 to 80 degrees two-theta:
| d (Å) | intensity | index |
| --- | --- | --- |
| 4.950 | 6 | 0 1 1 |
| 2.862 | 100 | 2 0 1 |
| 2.847 | 33 | 0 0 3 |
| 2.475 | 67 | 0 2 2 |
| 1.754 | 24 | 2 2 0 |
| 1.747 | 24 | 2 0 4 |
| 1.494 | 42 | 2 2 3 |
| 1.489 | 14 | 0 2 5 |
| 1.431 | 12 | 4 0 2 |
| 1.238 | 8 | 0 4 4 |

Cell: 7.014 7.014 8.542 Å, 90.00 90.00 120.00°
Positions (direct):
Pm (0.000, 0.000, 0.000)
Ho (0.003, 0.501, 0.997)
Ho (0.331, 0.165, 0.330)
Ho (0.333, 0.667, 0.327)
Ho (0.499, 0.501, 0.997)
Ho (0.499, 0.997, 0.997)
Ho (0.835, 0.165, 0.330)
Ho (0.835, 0.669, 0.330)
Er (0.167, 0.334, 0.662)
Er (0.167, 0.833, 0.662)
Er (0.666, 0.833, 0.662)